Entry 1:
# CaZn2F7
Computed PXRD pattern, Cu Kα. Input: a PBE-relaxed structure.

Crystal structure
abc: 6.7643 9.9946 3.7978
angles: 90.00 90.00 90.00
Space group Cmmm (No. 65)
Symmetry-distinct sites (fractional):
Ca 0.0000 0.0000 0.0000
Zn 0.0000 0.3018 0.5000
F 0.0000 0.2727 0.0000
F 0.0000 0.5000 0.5000
F 0.1801 0.1277 0.5000

Most intense lines, 10 to 90 degrees two-theta, in order of rising 2θ:
2θ = 17.7°, intensity 571, (0 2 0); 2θ = 23.4°, intensity 924, (0 0 1); 2θ = 26.4°, intensity 1000, (2 0 0); 2θ = 28.4°, intensity 542, (1 1 1); 2θ = 29.5°, intensity 389, (0 2 1); 2θ = 29.9°, intensity 661, (1 3 0); 2θ = 47.8°, intensity 446, (3 1 1); 2θ = 47.9°, intensity 484, (0 0 2); 2θ = 48.8°, intensity 410, (3 3 0); 2θ = 53.5°, intensity 547, (1 5 1)



Entry 2:
# Ca4Zn6F19
Computed PXRD pattern, Cu Kα. Input: a PBE-relaxed structure.

Crystal structure
abc: 9.2913 9.2913 9.2913
angles: 90.00 90.00 90.00
Space group I23 (No. 197)
Symmetry-distinct sites (fractional):
Ca 0.1476 0.1476 0.8524
Zn 0.0000 0.3395 0.5000
F 0.0000 0.0000 0.0000
F 0.0000 0.0000 0.3192
F 0.0541 0.3263 0.7120

Most intense lines, 10 to 90 degrees two-theta, in order of rising 2θ:
2θ = 13.5°, intensity 455, (1 1 0); 2θ = 19.1°, intensity 423, (2 0 0); 2θ = 23.5°, intensity 459, (2 1 1); 2θ = 30.4°, intensity 1000, (3 1 0); 2θ = 33.4°, intensity 239, (2 2 2); 2θ = 36.2°, intensity 717, (3 2 1); 2θ = 41.2°, intensity 203, (3 3 0); 2θ = 48.0°, intensity 289, (4 2 2); 2θ = 50.1°, intensity 812, (4 1 3); 2θ = 59.7°, intensity 399, (6 0 0)



Entry 3:
# CaZn3F8
Computed PXRD pattern, Cu Kα. Input: a PBE-relaxed structure.

Crystal structure
abc: 12.7088 3.9532 6.5796
angles: 90.00 94.32 90.00
Space group Cm (No. 8)
Symmetry-distinct sites (fractional):
Ca 0.0000 0.0000 0.0000
Zn 0.1687 0.0000 0.5639
Zn 0.2806 0.0000 0.1314
Zn 0.4689 0.0000 0.5200
F 0.1354 0.0000 0.2444
F 0.1366 0.5000 0.5532
F 0.1775 0.0000 0.8699
F 0.3113 0.0000 0.4576
F 0.3196 0.5000 0.0798
F 0.4582 0.0000 0.2092
F 0.4593 0.0000 0.8280
F 0.4962 0.5000 0.5703

Most intense lines, 10 to 90 degrees two-theta, in order of rising 2θ:
2θ = 18.7°, intensity 236, (2 0 -1); 2θ = 20.2°, intensity 307, (2 0 1); 2θ = 23.6°, intensity 1000, (1 1 0); 2θ = 27.0°, intensity 244, (1 1 -1); 2θ = 27.2°, intensity 553, (0 0 2); 2θ = 28.2°, intensity 203, (4 0 0); 2θ = 30.4°, intensity 268, (4 0 -1); 2θ = 42.8°, intensity 273, (6 0 0); 2θ = 45.9°, intensity 430, (0 2 0); 2θ = 48.6°, intensity 225, (1 1 3)



Entry 4:
# Ca2Fe
Computed PXRD pattern, Cu Kα. Input: a PBE-relaxed structure.

Crystal structure
abc: 3.7462 25.0468 4.0164
angles: 90.00 90.00 90.00
Space group Cmcm (No. 63)
Symmetry-distinct sites (fractional):
Ca 0.0000 0.0697 0.2500
Ca 0.0000 0.1957 0.7500
Fe 0.0000 0.4753 0.2500

Most intense lines, 10 to 90 degrees two-theta, in order of rising 2θ:
2θ = 14.1°, intensity 702, (0 4 0); 2θ = 26.1°, intensity 817, (1 3 0); 2θ = 26.4°, intensity 314, (0 4 1); 2θ = 30.9°, intensity 350, (0 6 1); 2θ = 34.5°, intensity 1000, (1 3 1); 2θ = 34.7°, intensity 596, (1 7 0); 2θ = 37.4°, intensity 655, (1 5 1); 2θ = 42.5°, intensity 258, (0 10 1); 2θ = 45.1°, intensity 285, (0 0 2); 2θ = 49.2°, intensity 395, (0 12 1)



What did the first record say?
# CaZn2F7
Computed PXRD pattern, Cu Kα. Input: a PBE-relaxed structure.

Crystal structure
abc: 6.7643 9.9946 3.7978
angles: 90.00 90.00 90.00
Space group Cmmm (No. 65)
Symmetry-distinct sites (fractional):
Ca 0.0000 0.0000 0.0000
Zn 0.0000 0.3018 0.5000
F 0.0000 0.2727 0.0000
F 0.0000 0.5000 0.5000
F 0.1801 0.1277 0.5000

Most intense lines, 10 to 90 degrees two-theta, in order of rising 2θ:
2θ = 17.7°, intensity 571, (0 2 0); 2θ = 23.4°, intensity 924, (0 0 1); 2θ = 26.4°, intensity 1000, (2 0 0); 2θ = 28.4°, intensity 542, (1 1 1); 2θ = 29.5°, intensity 389, (0 2 1); 2θ = 29.9°, intensity 661, (1 3 0); 2θ = 47.8°, intensity 446, (3 1 1); 2θ = 47.9°, intensity 484, (0 0 2); 2θ = 48.8°, intensity 410, (3 3 0); 2θ = 53.5°, intensity 547, (1 5 1)